ZnSn2P2O8: simulated XRD peak list (CuKα), based on a cell relaxed with GGA-PBE.

Crystal structure
```
data_ZnSn2P2O8
_cell_length_a 5.2330
_cell_length_b 9.6266
_cell_length_c 16.5152
_cell_angle_alpha 87.99
_cell_angle_beta 80.91
_cell_angle_gamma 74.24
_space_group_name_H-M_alt 'P 1'
_space_group_IT_number 1
_space_group_name_Hall 'P 1'
loop_
_atom_site_label
_atom_site_type_symbol
_atom_site_fract_x
_atom_site_fract_y
_atom_site_fract_z
Zn1 Zn 0.0000 0.0000 0.0000
Zn2 Zn 0.0457 0.4996 0.4997
Zn3 Zn 0.5121 0.7961 0.1784
Zn4 Zn 0.5576 0.3001 0.6788
Sn1 Sn 0.2758 0.6499 0.8420
Sn2 Sn 0.2783 0.1506 0.3405
Sn3 Sn 0.6009 0.9505 0.8285
Sn4 Sn 0.6650 0.4500 0.3287
Sn5 Sn 0.6876 0.8976 0.5891
Sn6 Sn 0.8710 0.3961 0.0904
Sn7 Sn 0.8905 0.8496 0.3496
Sn8 Sn 0.9557 0.3510 0.8495
P1 P 0.0959 0.5913 0.2150
P2 P 0.1443 0.0934 0.7151
P3 P 0.4155 0.2047 0.9633
P4 P 0.4626 0.7051 0.4625
P5 P 0.5991 0.2357 0.4775
P6 P 0.7315 0.7342 0.9774
P7 P 0.8284 0.5636 0.7006
P8 P 0.9546 0.0606 0.2007
O1 O 0.0213 0.5354 0.7687
O2 O 0.0705 0.4787 0.2845
O3 O 0.0888 0.5328 0.1305
O4 O 0.2054 0.6588 0.4593
O5 O 0.2101 0.9809 0.7850
O6 O 0.2227 0.9660 0.2291
O7 O 0.2377 0.2310 0.7356
O8 O 0.2674 0.2660 0.0473
O9 O 0.2942 0.0334 0.6310
O10 O 0.3234 0.0657 0.9443
O11 O 0.3289 0.3274 0.4480
O12 O 0.3493 0.3150 0.8926
O13 O 0.3568 0.6344 0.2175
O14 O 0.4652 0.7653 0.5469
O15 O 0.4868 0.8167 0.3924
O16 O 0.5423 0.7626 0.9082
O17 O 0.5595 0.7859 0.0595
O18 O 0.6077 0.0747 0.4707
O19 O 0.6228 0.4711 0.7298
O20 O 0.6290 0.2903 0.5599
O21 O 0.6719 0.7252 0.7063
O22 O 0.7148 0.5675 0.4427
O23 O 0.7211 0.0337 0.2690
O24 O 0.7220 0.1604 0.9606
O25 O 0.8312 0.2641 0.4093
O26 O 0.8381 0.1385 0.7172
O27 O 0.8460 0.7299 0.2352
O28 O 0.8929 0.5735 0.9704
O29 O 0.9175 0.0089 0.1183
O30 O 0.9369 0.8276 0.9495
O31 O 0.9489 0.2215 0.2071
O32 O 0.9962 0.5094 0.6181
```

Main lines, by intensity (10 to 90 degrees two-theta):
2theta	I (rel.)	(hkl)
29.5	1000	-1 1 3
26.1	910	1 -1 3
29.4	664	0 3 -1
29.7	653	1 3 1
33.3	614	1 2 -4
17.8	422	1 0 1
10.9	407	0 0 2
34.3	336	2 1 1
45.7	327	2 4 0
18.9	259	0 1 -3